Entry 1:
Starting from a crystal structure in Alexandria, relaxed with GGA-PBE, the XRD peak list of Zn4CoRh5 was simulated for Cu Kα, 1.54184 Å.
Neutral-atom scattering factors, no anomalous dispersion.

Most intense lines, 2θ = 15–90°, in order of rising 2θ:
2θ/deg  I/Imax
29.48  3
29.75  6
42.38  100
42.57  49
52.63  2
61.18  8
61.78  16
70.06  1
77.38  16
77.79  31

Structural model:
```
Zn4CoRh5
1.0
3.0031 0.0000 0.0000
0.0000 3.0031 0.0000
0.0000 0.0000 15.1481
Zn Co Rh
4 1 5
direct
0.0000 0.0000 0.1003 Zn
0.0000 0.0000 0.3004 Zn
0.0000 0.0000 0.6996 Zn
0.0000 0.0000 0.8997 Zn
0.0000 0.0000 0.5000 Co
0.5000 0.5000 0.0000 Rh
0.5000 0.5000 0.2013 Rh
0.5000 0.5000 0.4032 Rh
0.5000 0.5000 0.5968 Rh
0.5000 0.5000 0.7987 Rh
```

=====

Entry 2:
Starting from a crystal structure in Alexandria, relaxed with GGA-PBE, the XRD peak list of Co5Ru3 was simulated for Cu Kα, 1.54184 Å.
Neutral-atom scattering factors, no anomalous dispersion.

Most intense lines, 2θ = 15–90°, in order of rising 2θ:
2θ/deg  I/Imax
40.05  11
40.30  28
43.96  40
45.94  54
46.16  100
61.15  15
72.93  16
82.40  17
89.23  19
89.71  9

Structural model:
```
Co5Ru3
1.0
4.8585 -4.5022 0.0000
4.8585 4.5022 0.0000
-2.1237 0.0000 4.3739
Co Ru
10 6
direct
0.0415 0.9585 0.7500 Co
0.1640 0.5855 0.5043 Co
0.2048 0.2894 0.7401 Co
0.2894 0.2048 0.2401 Co
0.4145 0.8360 0.9957 Co
0.5855 0.1640 0.0043 Co
0.7106 0.7952 0.7599 Co
0.7952 0.7106 0.2599 Co
0.8360 0.4145 0.4957 Co
0.9585 0.0415 0.2500 Co
0.0780 0.6702 0.9982 Ru
0.3298 0.9220 0.5018 Ru
0.4570 0.5430 0.2500 Ru
0.5430 0.4570 0.7500 Ru
0.6702 0.0780 0.4982 Ru
0.9220 0.3298 0.0018 Ru
```

=====

Entry 3:
Starting from a crystal structure in Alexandria, relaxed with GGA-PBE, the XRD peak list of CoRu2 was simulated for Cu Kα, 1.54184 Å.
Neutral-atom scattering factors, no anomalous dispersion.

Most intense lines, 2θ = 15–90°, in order of rising 2θ:
2θ/deg  I/Imax
15.90  1
25.24  3
28.87  3
35.07  1
42.10  100
47.54  1
49.01  48
57.86  1
71.83  29
86.91  35

Structural model:
```
CoRu2
1.0
1.8599 -5.5745 0.0000
1.8599 5.5745 0.0000
0.0000 0.0000 3.7162
Co Ru
2 4
direct
0.0820 0.9180 0.7500 Co
0.9180 0.0820 0.2500 Co
0.2471 0.7529 0.2500 Ru
0.4185 0.5815 0.7500 Ru
0.5815 0.4185 0.2500 Ru
0.7529 0.2471 0.7500 Ru
```

=====

Entry 4:
Starting from a crystal structure in Alexandria, relaxed with GGA-PBE, the XRD peak list of CoRu2 was simulated for Cu Kα, 1.54184 Å.
Neutral-atom scattering factors, no anomalous dispersion.

Most intense lines, 2θ = 15–90°, in order of rising 2θ:
2θ/deg  I/Imax
38.81  44
39.60  27
43.14  71
44.57  100
44.69  98
45.22  43
45.45  43
71.32  30
85.65  18
86.89  18

Structural model:
```
CoRu2
1.0
4.7598 -1.3484 0.0000
4.7598 1.3484 0.0000
-1.5297 0.0000 6.0159
Co Ru
2 4
direct
0.0286 0.0286 0.3077 Co
0.9714 0.9714 0.6923 Co
0.3099 0.3099 0.3652 Ru
0.3620 0.3620 0.9672 Ru
0.6380 0.6380 0.0328 Ru
0.6901 0.6901 0.6348 Ru
```